(1)
Simulated X-ray powder pattern
Compound: Cs3PPt4
Radiation: a wavelength of 1.5418 Å
Structure: the GGA-PBE geometry in Alexandria
Neutral-atom scattering factors, no anomalous dispersion.

Structure:
```
Cs3PPt4
1.0
15.4723 0.0000 0.0000
0.0000 11.3479 0.0000
0.0000 0.0000 5.8196
Cs P Pt
12 4 16
direct
0.1243 0.0381 0.0073
0.1243 0.4619 0.0073
0.1956 0.2500 0.5084
0.3044 0.7500 0.0084
0.3757 0.5381 0.5073
0.3757 0.9619 0.5073
0.6243 0.0381 0.4927
0.6243 0.4619 0.4927
0.6956 0.2500 0.9916
0.8044 0.7500 0.4916
0.8757 0.5381 0.9927
0.8757 0.9619 0.9927
0.0637 0.7500 0.7537
0.4363 0.2500 0.2537
0.5637 0.7500 0.7463
0.9363 0.2500 0.2463
0.0170 0.6117 0.5042
0.0170 0.8883 0.5042
0.0673 0.7500 0.1287
0.1764 0.7500 0.5057
0.3236 0.2500 0.0057
0.4326 0.2500 0.6287
0.4830 0.1117 0.0042
0.4830 0.3883 0.0042
0.5170 0.6117 0.9958
0.5170 0.8883 0.9958
0.5674 0.7500 0.3713
0.6764 0.7500 0.9943
0.8236 0.2500 0.4943
0.9326 0.2500 0.8713
0.9830 0.1117 0.4958
0.9830 0.3883 0.4958
```

Largest 8 diffraction maxima, most intense first, 2θ = 15–90°:
Position (°2θ)	intensity	hkl
27.96	100	3 2 1
32.78	75	5 0 1
39.41	59	3 4 1
30.73	52	0 0 2
35.69	41	1 4 1
46.20	29	2 4 2
16.27	23	1 0 1
26.22	21	2 3 0

***

(2)
Simulated X-ray powder pattern
Compound: CsRbPPt
Radiation: a wavelength of 1.5418 Å
Structure: the GGA-PBE geometry in Alexandria
Neutral-atom scattering factors, no anomalous dispersion.

Structure:
```
CsRbPPt
1.0
6.2287 0.0000 0.0000
0.0000 4.2886 0.0000
-3.1106 0.0000 5.4970
Cs Rb P Pt
1 1 1 1
direct
0.0000 0.0000 0.0000
0.6663 0.0000 0.3327
0.3912 0.5000 0.7804
0.3256 0.0000 0.6514
```

Largest 8 diffraction maxima, most intense first, 2θ = 15–90°:
Position (°2θ)	intensity	hkl
28.25	100	1 0 1
35.29	98	1 1 1
20.71	85	0 1 0
28.66	52	2 0 -1
35.63	43	2 1 -1
51.51	37	1 2 1
16.36	29	1 0 -1
55.17	27	3 1 0